# 1
For Ge2SeO2, a PBE-relaxed structure gives the calculated powder diffractogram in this record (copper Kα).
Peak positions follow from Bragg's law for the DFT cell and can differ from measured ones.

Top 10 peaks for 2θ from 5° to 70°, low angle first:
16.1°, rel. 100
25.8°, rel. 49
28.9°, rel. 26
32.1°, rel. 50
32.5°, rel. 41
40.4°, rel. 33
45.2°, rel. 21
51.8°, rel. 30
53.0°, rel. 28
57.0°, rel. 18

Atomic structure:
```
Ge2SeO2
1.0
-3.2286 3.2286 5.2763
3.2286 -3.2286 5.2763
3.2286 3.2286 -5.2763
Ge Se O
4 2 4
Direct
0.2111 0.0000 0.2111 Ge
0.7500 0.0389 0.2889 Ge
0.7500 0.4611 0.7111 Ge
0.7889 0.0000 0.7889 Ge
0.3452 0.8452 0.5000 Se
0.5952 0.5952 0.0000 Se
0.4831 0.1854 0.2977 O
0.8877 0.1854 0.7023 O
0.9354 0.1377 0.2023 O
0.9354 0.7331 0.7977 O
```

=====

# 2
For TiAgIr, a PBE-relaxed structure gives the calculated powder diffractogram in this record (copper Kα).
Peak positions follow from Bragg's law for the DFT cell and can differ from measured ones.

Top 10 peaks for 2θ from 5° to 70°, low angle first:
24.0°, rel. 30
30.5°, rel. 45
32.4°, rel. 23
38.8°, rel. 100
39.2°, rel. 63
41.9°, rel. 92
43.6°, rel. 40
55.1°, rel. 15
62.1°, rel. 40
65.8°, rel. 11

Atomic structure:
```
TiAgIr
1.0
2.8376 0.0000 0.0000
0.0000 16.5679 0.0000
0.0000 0.0000 4.1529
Ti Ag Ir
4 4 4
Direct
0.0000 0.0480 0.2500 Ti
0.0000 0.9520 0.7500 Ti
0.5000 0.4520 0.7500 Ti
0.5000 0.5480 0.2500 Ti
0.0000 0.2110 0.2500 Ag
0.0000 0.7890 0.7500 Ag
0.5000 0.2890 0.7500 Ag
0.5000 0.7110 0.2500 Ag
0.0000 0.4003 0.2500 Ir
0.0000 0.5997 0.7500 Ir
0.5000 0.0997 0.7500 Ir
0.5000 0.9003 0.2500 Ir
```

=====

# 3
For In2Te2O7, a PBE-relaxed structure gives the calculated powder diffractogram in this record (copper Kα).
Peak positions follow from Bragg's law for the DFT cell and can differ from measured ones.

Top 10 peaks for 2θ from 5° to 70°, low angle first:
14.8°, rel. 100
20.7°, rel. 67
27.8°, rel. 33
28.7°, rel. 84
29.0°, rel. 72
29.9°, rel. 38
30.5°, rel. 31
34.1°, rel. 79
34.4°, rel. 40
57.5°, rel. 44

Atomic structure:
```
In2Te2O7
1.0
4.7387 -4.1679 0.0000
4.7387 4.1679 0.0000
-4.2382 0.0000 9.1385
In Te O
4 4 14
Direct
0.0592 0.2072 0.4410 In
0.2072 0.0592 0.9410 In
0.7928 0.9408 0.0590 In
0.9408 0.7928 0.5590 In
0.0390 0.5332 0.1983 Te
0.4668 0.9610 0.3017 Te
0.5332 0.0390 0.6983 Te
0.9610 0.4668 0.8017 Te
0.0211 0.7807 0.9198 O
0.0635 0.4892 0.6421 O
0.0774 0.9226 0.2500 O
0.2193 0.9789 0.5802 O
0.2360 0.3848 0.9220 O
0.3848 0.2360 0.4220 O
0.4892 0.0635 0.1421 O
0.5108 0.9365 0.8579 O
0.6152 0.7640 0.5780 O
0.7640 0.6152 0.0780 O
0.7807 0.0211 0.4198 O
0.9226 0.0774 0.7500 O
0.9365 0.5108 0.3579 O
0.9789 0.2193 0.0802 O
```

=====

# 4
For Hf2BeBIr6, a PBE-relaxed structure gives the calculated powder diffractogram in this record (copper Kα).
Peak positions follow from Bragg's law for the DFT cell and can differ from measured ones.

Top 3 peaks for 2θ from 5° to 70°, low angle first:
37.3°, rel. 100
43.4°, rel. 51
63.0°, rel. 34

Atomic structure:
```
Hf2BeBIr6
1.0
0.0000 4.1737 4.1737
4.1737 0.0000 4.1737
4.1737 4.1737 0.0000
Hf Be B Ir
2 1 1 6
Direct
0.2500 0.2500 0.2500 Hf
0.7500 0.7500 0.7500 Hf
0.0000 0.0000 0.0000 Be
0.5000 0.5000 0.5000 B
0.2530 0.2530 0.7470 Ir
0.2530 0.7470 0.2530 Ir
0.2530 0.7470 0.7470 Ir
0.7470 0.2530 0.2530 Ir
0.7470 0.2530 0.7470 Ir
0.7470 0.7470 0.2530 Ir
```

=====

# 5
For Sr4Bi2H3, a PBE-relaxed structure gives the calculated powder diffractogram in this record (copper Kα).
Peak positions follow from Bragg's law for the DFT cell and can differ from measured ones.

Top 10 peaks for 2θ from 5° to 70°, low angle first:
16.7°, rel. 100
24.3°, rel. 26
28.9°, rel. 40
29.4°, rel. 52
31.6°, rel. 42
32.4°, rel. 44
33.7°, rel. 83
40.9°, rel. 19
46.3°, rel. 19
49.1°, rel. 25

Atomic structure:
```
Sr4Bi2H3
1.0
3.6701 -7.5222 0.0000
3.6701 7.5222 0.0000
0.0000 0.0000 8.9111
Sr Bi H
8 4 6
Direct
0.2025 0.2975 0.7500 Sr
0.2026 0.7974 0.8845 Sr
0.2974 0.7026 0.3845 Sr
0.2975 0.2025 0.2500 Sr
0.7025 0.7975 0.7500 Sr
0.7026 0.2974 0.6155 Sr
0.7974 0.2026 0.1155 Sr
0.7975 0.7025 0.2500 Sr
0.1049 0.8951 0.5590 Bi
0.3951 0.6049 0.0590 Bi
0.6049 0.3951 0.9410 Bi
0.8951 0.1049 0.4410 Bi
0.0000 0.0000 0.0000 H
0.0388 0.4612 0.7500 H
0.4612 0.0388 0.2500 H
0.5000 0.5000 0.5000 H
0.5388 0.9612 0.7500 H
0.9612 0.5388 0.2500 H
```

=====

# 6
For GdFe11W, a PBE-relaxed structure gives the calculated powder diffractogram in this record (copper Kα).
Peak positions follow from Bragg's law for the DFT cell and can differ from measured ones.

Top 10 peaks for 2θ from 5° to 70°, low angle first:
21.7°, rel. 48
30.2°, rel. 45
36.9°, rel. 52
37.2°, rel. 62
42.7°, rel. 58
42.9°, rel. 100
43.0°, rel. 77
44.1°, rel. 49
44.2°, rel. 73
49.3°, rel. 39

Atomic structure:
```
GdFe11W
1.0
-2.3396 4.2324 4.2754
2.3396 -4.2324 4.2754
2.3396 4.2324 -4.2754
Gd Fe W
1 11 1
Direct
0.0000 0.0000 0.0000 Gd
0.2143 0.4921 0.7222 Fe
0.2262 0.7262 0.5000 Fe
0.3499 0.3499 0.0000 Fe
0.3516 0.9934 0.3582 Fe
0.4947 0.4946 0.4995 Fe
0.4947 0.9952 0.0001 Fe
0.6352 0.9934 0.6418 Fe
0.7642 0.2642 0.5000 Fe
0.7699 0.4921 0.2778 Fe
0.9951 0.4946 0.9999 Fe
0.9951 0.9952 0.5005 Fe
0.6252 0.6252 0.0000 W
```